Record 1
# Li9Co7O16
Computed powder diffraction line list, Cu Ka. Input: the GGA+U geometry in the Materials Project.
Kinematic intensities with the Lorentz-polarization factor, no thermal factor.

Principal peaks in the range 10° ≤ 2θ ≤ 90°, in order of falling intensity:
d_spacing, I (rel.)
4.770, 100
2.053, 53
2.463, 28
2.021, 25
1.451, 14
1.429, 14
1.877, 13
2.425, 12
1.586, 9
2.355, 8
1.449, 7
1.455, 7

Structure:
a = 5.719 Å, b = 5.719 Å, c = 9.698 Å
α = 98.88°, β = 98.88°, γ = 60.90°
Fractional positions:
Li1 0.000 0.000 0.000
Li2 0.122 0.630 0.754
Li3 0.123 0.123 0.756
Li4 0.370 0.878 0.246
Li5 0.375 0.375 0.244
Li6 0.625 0.625 0.756
Li7 0.630 0.122 0.754
Li8 0.877 0.877 0.244
Li9 0.878 0.370 0.246
Co1 0.000 0.500 0.000
Co2 0.250 0.250 0.499
Co3 0.250 0.750 0.500
Co4 0.500 0.000 0.000
Co5 0.500 0.500 0.000
Co6 0.750 0.250 0.500
Co7 0.750 0.750 0.501
O1 0.066 0.568 0.382
O2 0.070 0.070 0.383
O3 0.197 0.197 0.106
O4 0.201 0.664 0.108
O5 0.315 0.315 0.893
O6 0.336 0.799 0.892
O7 0.429 0.429 0.615
O8 0.432 0.934 0.618
O9 0.568 0.066 0.382
O10 0.571 0.571 0.385
O11 0.664 0.201 0.108
O12 0.685 0.685 0.107
O13 0.799 0.336 0.892
O14 0.803 0.803 0.894
O15 0.930 0.930 0.617
O16 0.934 0.432 0.618

***

Record 2
# DyMnCrO5
Computed powder diffraction line list, Cu Ka. Input: the GGA+U geometry in the Materials Project.
Kinematic intensities with the Lorentz-polarization factor, no thermal factor.

Principal peaks in the range 10° ≤ 2θ ≤ 90°, in order of falling intensity:
d_spacing, I (rel.)
2.899, 100
3.134, 68
5.835, 43
2.680, 39
2.197, 29
2.583, 25
1.681, 21
1.563, 20
1.954, 19
1.974, 18
1.459, 17
2.918, 17

Structure:
a = 7.240 Å, b = 8.656 Å, c = 5.835 Å
α = 90.00°, β = 90.00°, γ = 90.00°
Fractional positions:
Dy1 0.137 0.174 0.000
Dy2 0.363 0.674 0.000
Dy3 0.637 0.326 0.000
Dy4 0.863 0.826 0.000
Mn1 0.092 0.850 0.500
Mn2 0.408 0.350 0.500
Mn3 0.592 0.650 0.500
Mn4 0.908 0.150 0.500
Cr1 0.000 0.500 0.251
Cr2 0.000 0.500 0.749
Cr3 0.500 0.000 0.251
Cr4 0.500 0.000 0.749
O1 0.000 0.000 0.275
O2 0.000 0.000 0.725
O3 0.107 0.711 0.240
O4 0.107 0.711 0.760
O5 0.148 0.422 0.500
O6 0.170 0.446 0.000
O7 0.330 0.946 0.000
O8 0.352 0.922 0.500
O9 0.393 0.211 0.240
O10 0.393 0.211 0.760
O11 0.500 0.500 0.275
O12 0.500 0.500 0.725
O13 0.607 0.789 0.240
O14 0.607 0.789 0.760
O15 0.648 0.078 0.500
O16 0.670 0.054 0.000
O17 0.830 0.554 0.000
O18 0.852 0.578 0.500
O19 0.893 0.289 0.240
O20 0.893 0.289 0.760

***

Record 3
# MnH12C8S2N2O2
Computed powder diffraction line list, Cu Ka. Input: the GGA+U geometry in the Materials Project.
Kinematic intensities with the Lorentz-polarization factor, no thermal factor.

Principal peaks in the range 10° ≤ 2θ ≤ 90°, in order of falling intensity:
d_spacing, I (rel.)
7.846, 100
7.717, 67
3.329, 56
6.763, 56
5.140, 44
4.047, 38
3.381, 37
4.143, 36
2.508, 27
4.756, 23
3.923, 21
2.376, 20

Structure:
a = 5.914 Å, b = 8.252 Å, c = 8.426 Å
α = 108.44°, β = 98.34°, γ = 96.42°
Fractional positions:
Mn1 0.000 0.000 0.000
H1 0.028 0.504 0.738
H2 0.112 0.669 0.447
H3 0.177 0.327 0.653
H4 0.372 0.580 0.178
H5 0.398 0.766 0.108
H6 0.449 0.791 0.330
H7 0.551 0.209 0.670
H8 0.602 0.234 0.892
H9 0.628 0.420 0.822
H10 0.823 0.673 0.347
H11 0.888 0.331 0.553
H12 0.972 0.496 0.262
C1 0.008 0.362 0.675
C2 0.094 0.725 0.215
C3 0.343 0.715 0.204
C4 0.412 0.843 0.808
C5 0.588 0.157 0.192
C6 0.657 0.285 0.796
C7 0.906 0.275 0.785
C8 0.992 0.638 0.325
S1 0.354 0.212 0.259
S2 0.646 0.788 0.741
N1 0.239 0.880 0.855
N2 0.761 0.120 0.145
O1 0.025 0.198 0.862
O2 0.975 0.802 0.138

***

Record 4
# LiNiP3O9
Computed powder diffraction line list, Cu Ka. Input: the GGA+U geometry in the Materials Project.
Kinematic intensities with the Lorentz-polarization factor, no thermal factor.

Principal peaks in the range 10° ≤ 2θ ≤ 90°, in order of falling intensity:
d_spacing, I (rel.)
5.434, 100
5.028, 47
2.975, 32
2.717, 24
2.282, 14
1.984, 11
3.690, 8
2.105, 8
1.394, 8
1.811, 7
2.903, 7
1.470, 7

Structure:
a = 6.251 Å, b = 6.251 Å, c = 6.251 Å
α = 107.08°, β = 107.08°, γ = 107.08°
Fractional positions:
Li1 0.000 0.000 0.000
Ni1 0.630 0.630 0.630
P1 0.123 0.674 0.545
P2 0.545 0.123 0.674
P3 0.674 0.545 0.123
O1 0.011 0.757 0.720
O2 0.271 0.912 0.507
O3 0.279 0.538 0.599
O4 0.507 0.271 0.912
O5 0.538 0.599 0.279
O6 0.599 0.279 0.538
O7 0.720 0.011 0.757
O8 0.757 0.720 0.011
O9 0.912 0.507 0.271

***

Record 5
# MgP2WO7
Computed powder diffraction line list, Cu Ka. Input: the GGA+U geometry in the Materials Project.
Kinematic intensities with the Lorentz-polarization factor, no thermal factor.

Principal peaks in the range 10° ≤ 2θ ≤ 90°, in order of falling intensity:
d_spacing, I (rel.)
6.543, 100
5.542, 98
3.314, 83
3.244, 78
3.201, 66
5.964, 54
5.420, 52
3.020, 47
2.641, 42
2.486, 41
4.445, 39
2.391, 36

Structure:
a = 6.460 Å, b = 6.843 Å, c = 7.314 Å
α = 73.00°, β = 67.41°, γ = 84.40°
Fractional positions:
Mg1 0.170 0.198 0.405
Mg2 0.830 0.802 0.595
P1 0.133 0.632 0.183
P2 0.273 0.870 0.750
P3 0.727 0.130 0.250
P4 0.867 0.368 0.817
W1 0.396 0.381 0.714
W2 0.604 0.619 0.286
O1 0.091 0.780 0.982
O2 0.095 0.354 0.640
O3 0.129 0.919 0.614
O4 0.174 0.418 0.158
O5 0.323 0.725 0.205
O6 0.388 0.057 0.740
O7 0.451 0.703 0.710
O8 0.549 0.297 0.290
O9 0.612 0.943 0.260
O10 0.677 0.275 0.795
O11 0.826 0.582 0.842
O12 0.871 0.081 0.386
O13 0.905 0.646 0.360
O14 0.909 0.220 0.018

***

Record 6
# Li3V2P4H2O16
Computed powder diffraction line list, Cu Ka. Input: the GGA+U geometry in the Materials Project.
Kinematic intensities with the Lorentz-polarization factor, no thermal factor.

Principal peaks in the range 10° ≤ 2θ ≤ 90°, in order of falling intensity:
d_spacing, I (rel.)
3.561, 100
3.095, 34
3.060, 34
5.391, 28
5.458, 25
3.515, 24
3.913, 23
2.729, 23
2.696, 20
3.961, 18
3.049, 18
3.071, 17

Structure:
a = 4.858 Å, b = 7.580 Å, c = 8.065 Å
α = 89.16°, β = 89.39°, γ = 75.25°
Fractional positions:
Li1 0.000 0.000 0.000
Li2 0.218 0.688 0.266
Li3 0.521 0.488 0.765
V1 0.106 0.848 0.630
V2 0.613 0.344 0.138
P1 0.246 0.080 0.289
P2 0.483 0.107 0.782
P3 0.743 0.579 0.485
P4 0.980 0.614 0.981
H1 0.128 0.338 0.638
H2 0.585 0.856 0.142
O1 0.097 0.658 0.808
O2 0.155 0.022 0.461
O3 0.232 0.507 0.088
O4 0.264 0.990 0.804
O5 0.352 0.288 0.688
O6 0.372 0.896 0.192
O7 0.457 0.197 0.305
O8 0.479 0.693 0.589
O9 0.599 0.155 0.947
O10 0.632 0.538 0.317
O11 0.742 0.989 0.682
O12 0.764 0.497 0.960
O13 0.854 0.794 0.072
O14 0.870 0.410 0.590
O15 0.954 0.705 0.461
O16 0.990 0.175 0.181

***

Record 7
# ThMo2O11
Computed powder diffraction line list, Cu Ka. Input: the GGA+U geometry in the Materials Project.
Kinematic intensities with the Lorentz-polarization factor, no thermal factor.

Principal peaks in the range 10° ≤ 2θ ≤ 90°, in order of falling intensity:
d_spacing, I (rel.)
3.564, 100
8.776, 85
5.531, 65
3.746, 57
3.195, 52
3.137, 37
3.339, 37
3.961, 34
3.269, 33
4.940, 31
3.294, 29
4.388, 28

Structure:
a = 8.776 Å, b = 10.292 Å, c = 9.881 Å
α = 90.00°, β = 90.43°, γ = 90.00°
Fractional positions:
Th1 0.188 0.040 0.277
Th2 0.188 0.460 0.777
Th3 0.812 0.540 0.223
Th4 0.812 0.960 0.723
Mo1 0.093 0.723 0.503
Mo2 0.093 0.777 0.003
Mo3 0.256 0.089 0.693
Mo4 0.256 0.411 0.193
Mo5 0.744 0.589 0.807
Mo6 0.744 0.911 0.307
Mo7 0.907 0.223 0.997
Mo8 0.907 0.277 0.497
O1 0.010 0.670 0.125
O2 0.010 0.830 0.625
O3 0.061 0.145 0.086
O4 0.061 0.355 0.586
O5 0.064 0.061 0.744
O6 0.064 0.439 0.244
O7 0.193 0.676 0.887
O8 0.193 0.824 0.387
O9 0.213 0.606 0.592
O10 0.213 0.894 0.092
O11 0.253 0.075 0.510
O12 0.253 0.425 0.010
O13 0.298 0.250 0.258
O14 0.298 0.250 0.758
O15 0.358 0.542 0.277
O16 0.358 0.958 0.777
O17 0.426 0.112 0.031
O18 0.426 0.388 0.531
O19 0.463 0.549 0.823
O20 0.463 0.951 0.323
O21 0.492 0.215 0.012
O22 0.492 0.285 0.512
O23 0.508 0.715 0.488
O24 0.508 0.785 0.988
O25 0.537 0.049 0.677
O26 0.537 0.451 0.177
O27 0.574 0.612 0.469
O28 0.574 0.888 0.969
O29 0.642 0.042 0.223
O30 0.642 0.458 0.723
O31 0.702 0.750 0.242
O32 0.702 0.750 0.742
O33 0.747 0.575 0.990
O34 0.747 0.925 0.490
O35 0.787 0.106 0.908
O36 0.787 0.394 0.408
O37 0.807 0.176 0.613
O38 0.807 0.324 0.113
O39 0.936 0.561 0.756
O40 0.936 0.939 0.256
O41 0.939 0.645 0.414
O42 0.939 0.855 0.914
O43 0.990 0.170 0.375
O44 0.990 0.330 0.875

***

Record 8
# NaNiO2
Computed powder diffraction line list, Cu Ka. Input: the GGA+U geometry in the Materials Project.
Kinematic intensities with the Lorentz-polarization factor, no thermal factor.

Principal peaks in the range 10° ≤ 2θ ≤ 90°, in order of falling intensity:
d_spacing, I (rel.)
5.327, 100
2.281, 73
2.406, 59
1.832, 38
1.452, 27
2.664, 25
2.057, 23
2.148, 15
1.483, 13
1.520, 13
1.523, 13
2.524, 12

Structure:
a = 2.856 Å, b = 10.654 Å, c = 3.049 Å
α = 90.00°, β = 117.78°, γ = 90.00°
Fractional positions:
Na1 0.192 0.250 0.367
Na2 0.808 0.750 0.633
Ni1 0.500 0.000 0.000
Ni2 0.500 0.500 0.000
O1 0.138 0.598 0.278
O2 0.138 0.902 0.278
O3 0.862 0.098 0.722
O4 0.862 0.402 0.722